Diffraction record for Pr5Co19B6. The PXRD pattern is theoretical, not measured: it uses a DFT-relaxed cell (GGA-PBE, OQMD) and Cu Kα.
Kinematic intensities with the Lorentz-polarization factor, no thermal factor.

Largest 12 diffraction maxima, in order of falling intensity, 2θ from 15° to 90°:
2θ = 44.88°, rel. 100.0
2θ = 33.82°, rel. 95.9
2θ = 40.94°, rel. 92.6
2θ = 62.36°, rel. 32.3
2θ = 35.26°, rel. 30.5
2θ = 70.02°, rel. 25.1
2θ = 74.56°, rel. 24.0
2θ = 71.14°, rel. 15.8
2θ = 20.14°, rel. 14.3
2θ = 84.43°, rel. 13.7
2θ = 67.39°, rel. 11.9
2θ = 55.40°, rel. 11.1

Crystal structure
```
Pr5Co19B6
1.0
5.0913 0.0000 0.0000
-2.5456 4.4092 0.0000
0.0000 0.0000 16.5843
Pr Co B
5 19 6
direct
0.0000 0.0000 0.0000
0.0000 0.0000 0.2043
0.0000 0.0000 0.4053
0.0000 0.0000 0.5947
0.0000 0.0000 0.7957
0.0000 0.5000 0.0874
0.0000 0.5000 0.3244
0.0000 0.5000 0.5000
0.0000 0.5000 0.6756
0.0000 0.5000 0.9126
0.3333 0.6667 0.2053
0.3333 0.6667 0.7947
0.5000 0.0000 0.0874
0.5000 0.0000 0.3244
0.5000 0.0000 0.5000
0.5000 0.0000 0.6756
0.5000 0.0000 0.9126
0.5000 0.5000 0.0874
0.5000 0.5000 0.3244
0.5000 0.5000 0.5000
0.5000 0.5000 0.6756
0.5000 0.5000 0.9126
0.6667 0.3333 0.2053
0.6667 0.3333 0.7947
0.3333 0.6667 0.0000
0.3333 0.6667 0.4107
0.3333 0.6667 0.5893
0.6667 0.3333 0.0000
0.6667 0.3333 0.4107
0.6667 0.3333 0.5893
```